Entry 1:
The following is a computed powder diffractogram of CuHgO2. It was derived from a crystal structure in the Materials Project, relaxed with PBE, using Cu Kα.
Neutral-atom scattering factors, no anomalous dispersion.

Peak list (10 most intense, 2θ = 10–90°, low angle first)
hkl, Position (°2θ), d [Å], I_rel
0 0 1, 15.99, 5.543, 68
2 0 0, 28.90, 3.090, 100
2 0 -2, 30.92, 2.892, 67
0 0 2, 32.30, 2.771, 50
1 1 0, 33.17, 2.701, 43
1 1 -1, 33.63, 2.665, 99
1 1 1, 40.18, 2.245, 76
3 1 -1, 49.30, 1.849, 38
1 1 -3, 53.72, 1.706, 36
3 1 -3, 56.74, 1.623, 31

Structure:
```
data_CuHgO2
_cell_length_a 7.108
_cell_length_b 3.003
_cell_length_c 6.376
_cell_angle_alpha 90.00
_cell_angle_beta 119.61
_cell_angle_gamma 90.00
_symmetry_space_group_name_H-M 'C 1 2/m 1'
_symmetry_Int_Tables_number 12
loop_
_symmetry_equiv_pos_as_xyz
'x,y,z'
'-x,-y,-z'
'-x,y,-z'
'x,-y,z'
'x+1/2,y+1/2,z'
'-x+1/2,-y+1/2,-z'
'-x+1/2,y+1/2,-z'
'x+1/2,-y+1/2,z'
loop_
_atom_site_label
_atom_site_type_symbol
_atom_site_fract_x
_atom_site_fract_y
_atom_site_fract_z
Cu1 Cu 0.000 0.000 0.000
Hg1 Hg 0.000 0.500 0.500
O1 O 0.071 0.500 0.220
```

=====

Entry 2:
The following is a computed powder diffractogram of Mn20Si12C. It was derived from a crystal structure in the Materials Project, relaxed with PBE, using Cu Kα.
Neutral-atom scattering factors, no anomalous dispersion.

Peak list (10 most intense, 2θ = 10–90°, low angle first)
hkl, Position (°2θ), d [Å], I_rel
0 4 0, 30.02, 2.976, 13
1 3 -1, 32.03, 2.795, 11
2 0 0, 37.46, 2.401, 11
0 1 3, 40.08, 2.250, 42
2 1 -1, 40.51, 2.227, 27
1 4 -2, 44.47, 2.037, 100
0 6 0, 45.73, 1.984, 38
2 0 2, 46.12, 1.968, 76
2 0 -4, 66.95, 1.398, 14
3 4 2, 72.47, 1.304, 21

Structure:
```
data_Mn20Si12C
_cell_length_a 4.802
_cell_length_b 11.916
_cell_length_c 6.867
_cell_angle_alpha 90.00
_cell_angle_beta 90.06
_cell_angle_gamma 90.00
_symmetry_space_group_name_H-M 'P 1 2/m 1'
_symmetry_Int_Tables_number 10
loop_
_symmetry_equiv_pos_as_xyz
'x,y,z'
'-x,-y,-z'
'-x,y,-z'
'x,-y,z'
loop_
_atom_site_label
_atom_site_type_symbol
_atom_site_fract_x
_atom_site_fract_y
_atom_site_fract_z
Mn1 Mn 0.000 0.165 0.000
Mn2 Mn 0.000 0.332 0.500
Mn3 Mn 0.240 0.119 0.381
Mn4 Mn 0.242 0.000 0.738
Mn5 Mn 0.248 0.500 0.244
Mn6 Mn 0.249 0.377 0.877
Mn7 Mn 0.500 0.167 0.000
Mn8 Mn 0.500 0.334 0.500
Si1 Si 0.250 0.500 0.603
Si2 Si 0.251 0.300 0.200
Si3 Si 0.261 0.000 0.097
Si4 Si 0.262 0.200 0.700
C1 C 0.000 0.000 0.500
```

=====

Entry 3:
The following is a computed powder diffractogram of FeNiP6. It was derived from a crystal structure in the Materials Project, relaxed with PBE, using Cu Kα.
Neutral-atom scattering factors, no anomalous dispersion.

Peak list (10 most intense, 2θ = 10–90°, low angle first)
hkl, Position (°2θ), d [Å], I_rel
0 0 1, 16.18, 5.479, 20
2 0 -2, 22.96, 3.874, 84
0 0 2, 32.69, 2.739, 63
2 0 -3, 36.68, 2.450, 100
4 2 -2, 40.33, 2.237, 31
4 2 -1, 43.72, 2.071, 24
2 0 2, 52.84, 1.733, 96
2 2 2, 58.35, 1.582, 61
1 1 3, 60.96, 1.520, 29
4 0 -6, 77.98, 1.225, 16

Structure:
```
data_FeNiP6
_cell_length_a 10.943
_cell_length_b 7.753
_cell_length_c 7.743
_cell_angle_alpha 90.00
_cell_angle_beta 134.93
_cell_angle_gamma 90.00
_symmetry_space_group_name_H-M 'C 1 2/m 1'
_symmetry_Int_Tables_number 12
loop_
_symmetry_equiv_pos_as_xyz
'x,y,z'
'-x,-y,-z'
'-x,y,-z'
'x,-y,z'
'x+1/2,y+1/2,z'
'-x+1/2,-y+1/2,-z'
'-x+1/2,y+1/2,-z'
'x+1/2,-y+1/2,z'
loop_
_atom_site_label
_atom_site_type_symbol
_atom_site_fract_x
_atom_site_fract_y
_atom_site_fract_z
Fe1 Fe 0.250 0.250 0.000
Ni1 Ni 0.250 0.250 0.500
P1 P 0.006 0.146 0.657
P2 P 0.145 0.349 0.140
P3 P 0.148 0.500 0.504
P4 P 0.154 0.500 0.802
```

=====

Entry 4:
The following is a computed powder diffractogram of MgB2H4C8N8O2. It was derived from a crystal structure in the Materials Project, relaxed with PBE, using Cu Kα.
Neutral-atom scattering factors, no anomalous dispersion.

Peak list (10 most intense, 2θ = 10–90°, low angle first)
hkl, Position (°2θ), d [Å], I_rel
1 0 1, 11.78, 7.515, 31
2 1 1, 18.48, 4.801, 29
2 2 0, 20.13, 4.412, 93
1 1 2, 21.40, 4.153, 46
3 2 1, 27.46, 3.248, 73
3 1 2, 29.54, 3.024, 100
4 2 0, 32.08, 2.790, 25
2 1 3, 32.74, 2.735, 41
4 3 1, 37.27, 2.412, 23
4 4 0, 40.93, 2.205, 24

Structure:
```
data_MgB2H4C8N8O2
_cell_length_a 12.479
_cell_length_b 12.479
_cell_length_c 9.412
_cell_angle_alpha 90.00
_cell_angle_beta 90.00
_cell_angle_gamma 90.00
_symmetry_space_group_name_H-M 'I -4 2 d'
_symmetry_Int_Tables_number 122
_symmetry_space_group_name_Hall 'I -4 2bw'
loop_
_atom_site_label
_atom_site_type_symbol
_atom_site_fract_x
_atom_site_fract_y
_atom_site_fract_z
Mg1 Mg 0.000 0.000 0.000
B1 B 0.216 0.250 0.625
H1 H 0.035 0.053 0.281
C1 C 0.145 0.197 0.504
C2 C 0.161 0.706 0.313
N1 N 0.096 0.155 0.415
N2 N 0.099 0.643 0.274
O1 O 0.000 0.000 0.219
```